Entry 1:
Structure and calculated X-ray powder pattern of Ho2Hf2O7 (a GGA-PBE-relaxed structure; Cu Kα, 1.54184 Å).

Structural model:
Lattice parameters (Å, degrees): 10.478 10.478 10.478 90.00 90.00 90.00
Space group Fd-3m (No. 227, origin choice 2)
Unique sites:
Ho (0.000, 0.000, 0.000)
Hf (0.000, 0.000, 0.500)
O (0.089, 0.375, 0.875)
O (0.125, 0.125, 0.125)

Most intense lines, 2θ = 5–70°, by angle:
hkl  d/Å  Rel. int.
3 1 1  3.159  1
2 2 2  3.025  100
4 0 0  2.620  36
4 4 0  1.852  46
6 2 2  1.580  44
4 4 4  1.512  11

Entry 2:
Structure and calculated X-ray powder pattern of Ho2HfP3 (a GGA-PBE-relaxed structure; Cu Kα, 1.54184 Å).

Structural model:
```
data_Ho2HfP3
_cell_length_a 3.886
_cell_length_b 3.886
_cell_length_c 16.411
_cell_angle_alpha 90.00
_cell_angle_beta 90.00
_cell_angle_gamma 90.00
_symmetry_space_group_name_H-M 'I 4/m m m'
_symmetry_Int_Tables_number 139
_symmetry_space_group_name_Hall '-I 4 2'
loop_
_atom_site_label
_atom_site_fract_x
_atom_site_fract_y
_atom_site_fract_z
Ho1 0.000 0.000 0.167
Hf1 0.000 0.000 0.500
P1 0.000 0.000 0.000
P2 0.000 0.000 0.339
```

Most intense lines, 2θ = 5–70°, by angle:
hkl  d/Å  Rel. int.
1 0 3  3.168  100
1 1 0  2.748  74
0 0 6  2.735  36
1 1 6  1.939  53
2 1 3  1.656  32
2 0 6  1.584  28

Entry 3:
Structure and calculated X-ray powder pattern of HoHfTcPt (a GGA-PBE-relaxed structure; Cu Kα, 1.54184 Å).

Structural model:
```
data_HoHfTcPt
_cell_length_a 6.705
_cell_length_b 6.705
_cell_length_c 6.705
_cell_angle_alpha 90.00
_cell_angle_beta 90.00
_cell_angle_gamma 90.00
_symmetry_space_group_name_H-M 'F -4 3 m'
_symmetry_Int_Tables_number 216
_symmetry_space_group_name_Hall 'F -4 2 3'
loop_
_atom_site_label
_atom_site_fract_x
_atom_site_fract_y
_atom_site_fract_z
Ho1 0.000 0.000 0.000
Hf1 0.000 0.000 0.500
Tc1 0.250 0.250 0.750
Pt1 0.250 0.250 0.250
```

Most intense lines, 2θ = 5–70°, by angle:
hkl  d/Å  Rel. int.
1 1 1  3.871  5
2 2 0  2.371  100
3 1 1  2.022  3
4 0 0  1.676  17
3 3 1  1.538  1
4 2 2  1.369  35